Simulated X-ray diffraction stick pattern of Mg4H3Ir2 for Cu Kα (λ = 1.5418 Å), from a PBE-relaxed structure.
No peak broadening, texture or thermal motion is included.

```
data_Mg4H3Ir2
_space_group_name_H-M_alt 'C 1 m 1'
_space_group_IT_number 8
_cell_length_a 9.468
_cell_length_b 4.256
_cell_length_c 5.817
_cell_angle_alpha 90.00
_cell_angle_beta 90.89
_cell_angle_gamma 90.00
loop_
_space_group_symop_operation_xyz
'x,y,z'
'x,-y,z'
'x+1/2,y+1/2,z'
'x+1/2,-y+1/2,z'
loop_
_atom_site_label
_atom_site_type_symbol
_atom_site_fract_x
_atom_site_fract_y
_atom_site_fract_z
Mg1 Mg 0.000 0.000 0.000
Mg2 Mg 0.001 0.000 0.500
Mg3 Mg 0.212 0.500 0.221
Mg4 Mg 0.288 0.000 0.779
H1 H 0.243 0.500 0.644
H2 H 0.258 0.000 0.358
H3 H 0.499 0.000 0.501
Ir1 Ir 0.088 0.500 0.779
Ir2 Ir 0.412 0.000 0.222
```

The 8 most intense peaks (5 to 70 degrees two-theta), low angle first:
| (hkl) | Position (°2θ) | intensity |
| --- | --- | --- |
| 1 1 0 | 22.91 | 88 |
| 2 0 -1 | 24.05 | 40 |
| 2 0 1 | 24.43 | 51 |
| 1 1 1 | 27.71 | 29 |
| 0 0 2 | 30.74 | 32 |
| 3 1 -1 | 38.56 | 100 |
| 1 1 2 | 38.81 | 28 |
| 3 1 1 | 38.94 | 44 |